Record 1
Diffraction record for K4Ge2Se6O3. The X-ray diffraction stick pattern is computed, not measured: it uses a structure optimized by DFT (PBE) and Cu Kα, 1.54184 Å.
Kinematic intensities with the Lorentz-polarization factor, no thermal factor.

Structural model:
```
K4Ge2Se6O3
1.0
15.5526 0.0000 0.0000
0.0000 8.3580 0.0000
-1.2778 0.0000 14.1557
K Ge Se O
16 8 24 12
Cartesian
0.6691 0.0980 5.8088
0.0302 4.0810 12.8867
1.9100 4.9062 8.3961
2.5489 7.6309 1.3182
5.3810 0.9002 4.5586
4.7422 3.2788 11.6364
5.5033 4.5655 6.5255
4.8645 7.9715 13.6034
9.4103 0.3865 0.5523
8.7715 3.7925 7.6302
9.5326 5.0792 2.5193
8.8938 7.4578 9.5972
11.7259 0.7272 12.8375
12.3648 3.4518 5.7596
14.2446 4.2770 1.2691
13.6058 8.2600 8.3470
1.8365 0.0839 10.8786
2.4754 4.0951 3.8007
3.7756 0.1751 8.2107
4.4145 4.0040 1.1328
9.8603 4.3541 13.0229
10.4992 8.1830 5.9451
11.7994 4.2629 10.3550
12.4383 8.2742 3.2771
0.6139 5.6353 3.4947
-0.0249 6.9017 10.5725
1.8009 1.4752 8.8515
2.4398 2.7038 1.7736
2.0370 1.2651 12.8481
2.6759 2.9139 5.7702
2.9445 5.3720 13.4272
3.5834 7.1650 6.3493
4.5744 5.2985 3.1998
3.9355 7.2386 10.2777
5.9651 1.6156 8.3938
6.6040 2.5634 1.3159
7.6708 5.7946 12.8398
8.3097 6.7424 5.7619
10.3393 1.1195 3.8781
9.7004 3.0595 10.9560
10.6914 1.1930 7.8064
11.3303 2.9860 0.7285
11.5989 5.4441 8.3856
12.2378 7.0929 1.3077
11.8350 5.6542 12.3821
12.4739 6.8828 5.3043
14.2998 1.4563 3.5832
13.6609 2.7227 10.6611
0.6824 5.9164 1.7441
0.0435 6.6206 8.8219
6.0424 1.0792 1.9636
5.4036 3.0998 9.0415
6.4834 2.0011 6.7966
5.8446 2.1779 13.8745
8.4302 6.1801 0.2813
7.7914 6.3569 7.3592
8.8712 5.2582 5.1142
8.2324 7.2788 12.1921
14.2313 1.7374 5.3338
13.5924 2.4416 12.4117
```

Principal peaks in the range 2θ from 15° to 90°, low angle first:
| d (Å) | I_rel |
| --- | --- |
| 4.107 | 21 |
| 3.515 | 80 |
| 3.206 | 71 |
| 3.132 | 100 |
| 2.892 | 50 |
| 2.464 | 24 |
| 1.999 | 25 |
| 1.723 | 21 |


Record 2
Diffraction record for TbCd20Ni2. The X-ray diffraction stick pattern is computed, not measured: it uses a structure optimized by DFT (PBE) and Cu Kα, 1.54184 Å.
Kinematic intensities with the Lorentz-polarization factor, no thermal factor.

Structural model:
```
TbCd20Ni2
1.0
0.0000 7.8793 7.8793
7.8793 0.0000 7.8793
7.8793 7.8793 0.0000
Tb Cd Ni
2 40 4
Cartesian
1.9698 1.9698 1.9698
13.7889 13.7889 13.7889
0.0000 0.0000 0.0000
3.9397 3.9397 0.0000
3.9397 0.0000 3.9397
5.1000 2.9942 2.9942
8.8248 6.7190 2.9942
8.8248 2.9942 6.7190
10.6587 6.9339 6.9339
12.7645 9.0396 6.9339
12.7645 6.9339 9.0396
5.9095 5.9095 3.7294
5.9095 3.7294 5.9095
8.0897 5.9095 5.9095
2.9942 5.1000 2.9942
6.7190 8.8248 2.9942
2.9942 2.9942 5.1000
8.8248 8.8248 5.1000
6.7190 2.9942 8.8248
8.8248 5.1000 8.8248
9.8492 9.8492 7.6690
9.8492 7.6690 9.8492
12.0293 9.8492 9.8492
0.0000 3.9397 3.9397
3.7294 5.9095 5.9095
5.9095 8.0897 5.9095
5.9095 5.9095 8.0897
6.9339 10.6587 6.9339
9.0396 12.7645 6.9339
6.9339 6.9339 10.6587
12.7645 12.7645 10.6587
9.0396 6.9339 12.7645
12.7645 10.6587 12.7645
7.6690 9.8492 9.8492
9.8492 12.0293 9.8492
9.8492 9.8492 12.0293
2.9942 8.8248 6.7190
2.9942 6.7190 8.8248
5.1000 8.8248 8.8248
6.9339 12.7645 9.0396
6.9339 9.0396 12.7645
10.6587 12.7645 12.7645
7.8793 3.9397 3.9397
3.9397 7.8793 3.9397
3.9397 3.9397 7.8793
7.8793 7.8793 7.8793
```

Principal peaks in the range 2θ from 15° to 90°, low angle first:
| d (Å) | I_rel |
| --- | --- |
| 2.664 | 100 |
| 2.492 | 38 |
| 2.403 | 65 |
| 2.376 | 63 |
| 2.207 | 25 |
| 1.857 | 22 |
| 1.584 | 19 |
| 1.393 | 42 |


Record 3
Diffraction record for Cs2HgCl4. The X-ray diffraction stick pattern is computed, not measured: it uses a structure optimized by DFT (PBE) and Cu Kα, 1.54184 Å.
Kinematic intensities with the Lorentz-polarization factor, no thermal factor.

Structural model:
```
Cs2HgCl4
1.0
9.9018 0.0000 0.0000
0.0000 7.9240 0.0000
-0.1983 0.0000 27.8848
Cs Hg Cl
16 8 32
Cartesian
0.0570 1.9363 4.3666
-0.0421 2.0256 18.3090
1.2241 5.7919 1.6278
1.1250 6.0941 15.5702
3.7039 1.9479 8.0585
3.6048 2.0141 22.0009
4.7130 5.6599 11.5030
4.6139 6.2261 25.4454
5.0897 1.6979 2.4394
4.9905 2.2641 16.3818
6.0988 5.9099 5.8839
5.9996 5.9761 19.8263
8.5786 1.8299 12.3146
8.4794 2.1321 26.2570
9.7457 5.8983 9.5758
9.6465 5.9876 23.5183
2.0205 5.7813 5.9489
1.9214 6.1047 19.8914
2.6782 1.7408 12.8124
2.5790 2.2212 26.7549
7.1245 5.7028 1.1300
7.0254 6.1832 15.0724
7.7822 1.8193 7.9935
7.6830 2.1427 21.9359
0.2917 1.2395 7.8807
0.1926 2.7225 21.8231
1.5406 4.4765 26.2272
1.6397 7.4095 12.2848
1.7514 1.5514 1.1102
1.6523 2.4106 15.0526
1.7710 0.6266 24.9428
1.8701 3.3354 11.0003
2.8347 4.0727 18.6787
2.9338 7.8132 4.7363
3.0300 0.1597 18.6713
3.1291 3.8023 4.7289
3.1982 5.9275 8.2203
3.0991 5.9584 22.1627
4.6202 5.8278 1.1534
4.5210 6.0582 15.0958
5.1825 1.8658 12.7890
5.0834 2.0962 26.7315
6.6045 1.9656 5.7221
6.5054 1.9964 19.6646
6.5745 4.1217 23.1560
6.6736 7.7643 9.2135
6.7698 0.1107 23.1485
6.8689 3.8513 9.2061
7.8335 4.5886 16.8845
7.9326 7.2974 2.9421
8.0513 5.5134 12.8323
7.9521 6.3726 26.7747
8.0638 0.5145 15.6000
8.1630 3.4475 1.6576
9.5110 5.2015 6.0617
9.4119 6.6844 20.0041
```

Principal peaks in the range 2θ from 15° to 90°, low angle first:
| d (Å) | I_rel |
| --- | --- |
| 5.660 | 56 |
| 4.198 | 26 |
| 4.019 | 68 |
| 4.009 | 100 |
| 3.962 | 87 |
| 3.027 | 29 |
| 2.977 | 66 |
| 2.297 | 34 |


Record 4
Diffraction record for ThCoSi. The X-ray diffraction stick pattern is computed, not measured: it uses a structure optimized by DFT (PBE) and Cu Kα, 1.54184 Å.
Kinematic intensities with the Lorentz-polarization factor, no thermal factor.

Structural model:
```
ThCoSi
1.0
4.1100 0.0000 0.0000
0.0000 4.1100 0.0000
0.0000 0.0000 13.7459
Th Co Si
4 4 4
Cartesian
0.0000 0.0000 0.0000
0.0000 2.0550 3.4365
2.0550 0.0000 10.3094
2.0550 2.0550 6.8729
0.0000 0.0000 8.1516
0.0000 2.0550 11.5881
2.0550 0.0000 4.7151
2.0550 2.0550 1.2787
0.0000 0.0000 5.8058
0.0000 2.0550 9.2423
2.0550 0.0000 2.3693
2.0550 2.0550 12.6788
```

Principal peaks in the range 2θ from 15° to 90°, low angle first:
| d (Å) | I_rel |
| --- | --- |
| 3.938 | 39 |
| 3.059 | 55 |
| 2.677 | 100 |
| 2.285 | 42 |
| 2.055 | 33 |
| 1.706 | 21 |
| 1.528 | 24 |
| 1.277 | 20 |


Record 5
Diffraction record for Ho2Pt2O7. The X-ray diffraction stick pattern is computed, not measured: it uses a structure optimized by DFT (PBE) and Cu Kα, 1.54184 Å.
Kinematic intensities with the Lorentz-polarization factor, no thermal factor.

Structural model:
```
Ho2Pt2O7
1.0
0.0000 5.1310 5.1310
5.1310 0.0000 5.1310
5.1310 5.1310 0.0000
Ho Pt O
4 4 14
Cartesian
0.0000 0.0000 0.0000
2.5655 2.5655 0.0000
2.5655 0.0000 2.5655
0.0000 2.5655 2.5655
5.1310 2.5655 2.5655
2.5655 5.1310 2.5655
2.5655 2.5655 5.1310
5.1310 5.1310 5.1310
1.2828 1.2828 1.2828
3.8483 3.8483 1.6230
3.8483 1.6230 3.8483
6.0735 3.8483 3.8483
6.4138 6.4138 4.1885
6.4138 4.1885 6.4138
8.6390 6.4138 6.4138
1.6230 3.8483 3.8483
3.8483 6.0735 3.8483
3.8483 3.8483 6.0735
4.1885 6.4138 6.4138
6.4138 8.6390 6.4138
6.4138 6.4138 8.6390
8.9793 8.9793 8.9793
```

Principal peaks in the range 2θ from 15° to 90°, low angle first:
| d (Å) | I_rel |
| --- | --- |
| 2.962 | 100 |
| 2.566 | 37 |
| 1.814 | 46 |
| 1.547 | 44 |
| 1.481 | 10 |
| 1.283 | 7 |
| 1.177 | 18 |
| 1.147 | 15 |


Record 6
Diffraction record for NbAg7S6. The X-ray diffraction stick pattern is computed, not measured: it uses a structure optimized by DFT (PBE) and Cu Kα, 1.54184 Å.
Kinematic intensities with the Lorentz-polarization factor, no thermal factor.

Structural model:
```
NbAg7S6
1.0
7.5521 0.0000 0.0000
-3.6157 6.6548 0.0000
-3.5614 -2.2674 6.3712
Nb Ag S
1 7 6
Cartesian
0.0000 0.0000 0.0000
-2.1959 0.2489 3.5637
-4.6429 2.9056 5.1062
-1.3039 2.9927 0.7012
-2.0769 1.2641 6.3143
-1.0712 3.4081 3.7067
3.7792 0.6067 1.0932
2.6334 4.2717 2.4495
-3.3231 2.4068 3.0216
0.0519 -0.1036 2.2657
-1.6109 -1.1521 5.6229
0.1950 4.7256 1.7334
2.0864 -1.1946 5.6066
0.4011 2.2075 5.5095
```

Principal peaks in the range 2θ from 15° to 90°, low angle first:
| d (Å) | I_rel |
| --- | --- |
| 3.287 | 98 |
| 3.182 | 100 |
| 3.101 | 95 |
| 2.554 | 91 |
| 2.499 | 63 |
| 2.424 | 45 |
| 2.214 | 54 |
| 1.787 | 45 |


Record 7
Diffraction record for Mg8BRh4. The X-ray diffraction stick pattern is computed, not measured: it uses a structure optimized by DFT (PBE) and Cu Kα, 1.54184 Å.
Kinematic intensities with the Lorentz-polarization factor, no thermal factor.

Structural model:
```
Mg8BRh4
1.0
0.0000 6.1202 6.1202
6.1202 0.0000 6.1202
6.1202 6.1202 0.0000
Mg B Rh
16 2 8
Cartesian
0.0000 0.0000 0.0000
3.0601 3.0601 0.0000
3.0601 0.0000 3.0601
4.5901 4.5901 2.1497
4.5901 2.1497 4.5901
7.0306 4.5901 4.5901
7.6502 7.6502 5.2097
7.6502 5.2097 7.6502
10.0907 7.6502 7.6502
0.0000 3.0601 3.0601
2.1497 4.5901 4.5901
4.5901 7.0306 4.5901
4.5901 4.5901 7.0306
5.2097 7.6502 7.6502
7.6502 10.0907 7.6502
7.6502 7.6502 10.0907
1.5300 1.5300 1.5300
10.7103 10.7103 10.7103
9.5378 5.7626 5.7626
2.7025 2.7025 2.7025
6.4777 6.4777 2.7025
6.4777 2.7025 6.4777
5.7626 9.5378 5.7626
5.7626 5.7626 9.5378
9.5378 9.5378 9.5378
2.7025 6.4777 6.4777
```

Principal peaks in the range 2θ from 15° to 90°, low angle first:
| d (Å) | I_rel |
| --- | --- |
| 3.533 | 69 |
| 3.060 | 24 |
| 2.356 | 100 |
| 2.164 | 43 |
| 1.714 | 17 |
| 1.594 | 22 |
| 1.443 | 17 |
| 1.336 | 18 |


Record 8
Diffraction record for Te2Os. The X-ray diffraction stick pattern is computed, not measured: it uses a structure optimized by DFT (PBE) and Cu Kα, 1.54184 Å.
Kinematic intensities with the Lorentz-polarization factor, no thermal factor.

Structural model:
```
Te2Os
1.0
6.4712 0.0000 0.0000
0.0000 6.4712 0.0000
0.0000 0.0000 6.4712
Te Os
8 4
Cartesian
0.8274 0.8274 0.8274
0.8274 2.4082 4.0630
2.4082 4.0630 0.8274
2.4082 5.6438 4.0630
4.0630 0.8274 2.4082
4.0630 2.4082 5.6438
5.6438 4.0630 2.4082
5.6438 5.6438 5.6438
0.0000 0.0000 3.2356
0.0000 3.2356 0.0000
3.2356 0.0000 0.0000
3.2356 3.2356 3.2356
```

Principal peaks in the range 2θ from 15° to 90°, low angle first:
| d (Å) | I_rel |
| --- | --- |
| 3.736 | 27 |
| 3.236 | 43 |
| 2.894 | 65 |
| 2.642 | 49 |
| 2.288 | 37 |
| 1.951 | 100 |
| 1.730 | 27 |
| 1.245 | 30 |